Starting from the PBE geometry in Alexandria, the powder diffraction line list of Mg6Sc5 was calculated for Cu Kα.

Top 6 peaks for 2θ from 15° to 90°, sorted by position:
32.6°, I = 30; 35.3°, I = 12; 35.6°, I = 100; 35.7°, I = 33; 35.8°, I = 41; 36.6°, I = 22

Cell and atoms:
a b c (Å): 5.0188 7.2443 8.5677
angles (deg): 114.89 106.90 90.00
Space group P-1 (No. 2)
Symmetry-distinct sites (fractional):
Mg (0.0002, 0.2136, 0.0005) x2
Mg (0.3528, 0.6412, 0.7073) x2
Mg (0.3538, 0.0660, 0.7094) x2
Sc (0.1607, 0.6609, 0.3208) x2
Sc (0.2008, 0.1995, 0.4005) x2
Sc (0.5000, 0.5000, 0.0000) x1